1.
The following is a simulated powder diffraction line list of CaAg2O4. It was derived from a cell relaxed with GGA-PBE, using CuKα.
No peak broadening, texture or thermal motion is included.

Largest 12 diffraction maxima, in order of rising 2θ, 10 to 90 degrees two-theta:
h k l	Position (°2θ)	Rel. int.
0 1 1	16.26	16
0 2 0	25.69	44
1 1 2	27.53	52
1 2 1	30.86	40
2 1 1	31.76	100
0 1 3	33.09	46
1 0 3	33.38	24
2 3 1	49.27	38
0 3 3	50.25	22
0 4 0	52.80	15
2 2 4	56.84	50
4 1 3	66.51	15

Structure:
```
data_CaAg2O4
_chemical_formula_sum 'Ca4 Ag8 O16'
_cell_length_a 6.582
_cell_length_b 6.935
_cell_length_c 8.820
_cell_angle_alpha 90.00
_cell_angle_beta 90.00
_cell_angle_gamma 90.00
_space_group_name_H-M_alt 'I m m a'
_space_group_IT_number 74
_space_group_name_Hall '-I 2b 2'
loop_
_atom_site_label
_atom_site_type_symbol
_atom_site_fract_x
_atom_site_fract_y
_atom_site_fract_z
Ca1 Ca 0.000 0.000 0.000
Ag1 Ag 0.000 0.250 0.374
Ag2 Ag 0.250 0.250 0.750
O1 O 0.000 0.047 0.734
O2 O 0.227 0.250 0.983
```

=====

2.
The following is a simulated powder diffraction line list of Ca2OsN3. It was derived from a cell relaxed with GGA-PBE, using CuKα.
No peak broadening, texture or thermal motion is included.

Largest 12 diffraction maxima, in order of rising 2θ, 10 to 90 degrees two-theta:
h k l	Position (°2θ)	Rel. int.
0 2 0	16.41	74
1 1 2	23.26	100
0 0 4	29.66	21
2 0 0	32.14	44
1 3 2	33.15	99
1 1 4	34.87	38
2 2 0	36.29	16
1 3 4	42.36	15
2 0 4	44.30	18
1 5 2	47.58	29
2 0 6	56.47	16
3 3 2	57.95	18

Structure:
```
data_Ca2OsN3
_chemical_formula_sum 'Ca16 Os8 N24'
_cell_length_a 5.570
_cell_length_b 10.804
_cell_length_c 12.047
_cell_angle_alpha 90.00
_cell_angle_beta 90.00
_cell_angle_gamma 90.00
_space_group_name_H-M_alt 'C m c e'
_space_group_IT_number 64
_space_group_name_Hall '-C 2ac 2'
loop_
_atom_site_label
_atom_site_type_symbol
_atom_site_fract_x
_atom_site_fract_y
_atom_site_fract_z
Ca1 Ca 0.000 0.049 0.141
Ca2 Ca 0.000 0.137 0.576
Os1 Os 0.000 0.245 0.345
N1 N 0.000 0.070 0.365
N2 N 0.000 0.154 0.973
N3 N 0.250 0.205 0.750
```